[1]
For GdHCO4, a structure optimized by DFT (PBE) gives the simulated X-ray powder pattern in this record (Cu Kα (weighted mean of Kα1 and Kα2)).

Structure:
Lattice parameters (Å, degrees): 4.917 7.164 8.611 90.00 90.00 90.00
Space group P2_12_12_1 (No. 19)
One atom of each set of equivalent atoms:
Gd 0.002 0.111 0.162 (multiplicity 4)
H 0.102 0.746 0.030 (multiplicity 4)
C 0.001 0.551 0.672 (multiplicity 4)
O 0.001 0.954 0.702 (multiplicity 4)
O 0.006 0.293 0.383 (multiplicity 4)
O 0.225 0.096 0.896 (multiplicity 4)
O 0.231 0.596 0.608 (multiplicity 4)

Main lines, low angle first (2θ from 10° to 80°):
(0 1 1), 5.508 Å, 2θ = 16.1°, intensity 46
(1 0 1), 4.270 Å, 2θ = 20.8°, intensity 100
(1 1 1), 3.668 Å, 2θ = 24.3°, intensity 52
(0 2 1), 3.307 Å, 2θ = 27.0°, intensity 47
(1 2 0), 2.895 Å, 2θ = 30.9°, intensity 62
(1 1 3), 2.343 Å, 2θ = 38.4°, intensity 47
(2 1 2), 2.046 Å, 2θ = 44.3°, intensity 40
(2 2 1), 1.973 Å, 2θ = 46.0°, intensity 41

---

[2]
For Er2IrPd, a structure optimized by DFT (PBE) gives the simulated X-ray powder pattern in this record (Cu Kα (weighted mean of Kα1 and Kα2)).

Structure:
Lattice parameters (Å, degrees): 6.867 6.867 6.867 90.00 90.00 90.00
Space group Fm-3m (No. 225)
One atom of each set of equivalent atoms:
Er 0.250 0.250 0.250 (multiplicity 8)
Ir 0.000 0.000 0.000 (multiplicity 4)
Pd 0.000 0.000 0.500 (multiplicity 4)

Main lines, low angle first (2θ from 10° to 80°):
(1 1 1), 3.965 Å, 2θ = 22.4°, intensity 4
(2 2 0), 2.428 Å, 2θ = 37.0°, intensity 100
(3 1 1), 2.071 Å, 2θ = 43.7°, intensity 2
(4 0 0), 1.717 Å, 2θ = 53.4°, intensity 18
(3 3 1), 1.575 Å, 2θ = 58.6°, intensity 1
(4 2 2), 1.402 Å, 2θ = 66.7°, intensity 36
(5 1 1), 1.322 Å, 2θ = 71.4°, intensity 1
(4 4 0), 1.214 Å, 2θ = 78.8°, intensity 11

---

[3]
For In2Rh3S2, a structure optimized by DFT (PBE) gives the simulated X-ray powder pattern in this record (Cu Kα (weighted mean of Kα1 and Kα2)).

Structure:
Lattice parameters (Å, degrees): 5.7000 5.7000 13.7119 90.00 90.00 120.00
Space group R-3m (No. 166, hexagonal axes)
One atom of each set of equivalent atoms:
In 0.0000 0.0000 0.0000 (multiplicity 3)
In 0.0000 0.0000 0.5000 (multiplicity 3)
Rh 0.0000 0.5000 0.0000 (multiplicity 9)
S 0.0000 0.0000 0.2154 (multiplicity 6)

Main lines, low angle first (2θ from 10° to 80°):
(0 0 3), 4.571 Å, 2θ = 19.4°, intensity 62
(1 1 0), 2.850 Å, 2θ = 31.4°, intensity 28
(0 2 1), 2.429 Å, 2θ = 37.0°, intensity 52
(2 0 2), 2.322 Å, 2θ = 38.8°, intensity 100
(0 0 6), 2.285 Å, 2θ = 39.4°, intensity 37
(0 2 4), 2.003 Å, 2θ = 45.3°, intensity 92
(2 2 0), 1.425 Å, 2θ = 65.5°, intensity 32
(2 2 6), 1.209 Å, 2θ = 79.2°, intensity 29

---

[4]
For CeAl2Pt, a structure optimized by DFT (PBE) gives the simulated X-ray powder pattern in this record (Cu Kα (weighted mean of Kα1 and Kα2)).

Structure:
Lattice parameters (Å, degrees): 4.275 10.637 7.040 90.00 90.00 90.00
Space group Cmcm (No. 63)
One atom of each set of equivalent atoms:
Ce 0.000 0.066 0.250 (multiplicity 4)
Al 0.000 0.348 0.055 (multiplicity 8)
Pt 0.000 0.214 0.750 (multiplicity 4)

Main lines, low angle first (2θ from 10° to 80°):
(1 1 0), 3.967 Å, 2θ = 22.4°, intensity 37
(0 0 2), 3.520 Å, 2θ = 25.3°, intensity 59
(1 1 1), 3.456 Å, 2θ = 25.8°, intensity 36
(1 1 2), 2.633 Å, 2θ = 34.1°, intensity 50
(1 3 1), 2.545 Å, 2θ = 35.3°, intensity 100
(0 4 1), 2.488 Å, 2θ = 36.1°, intensity 51
(1 3 3), 1.779 Å, 2θ = 51.3°, intensity 31
(2 4 1), 1.621 Å, 2θ = 56.8°, intensity 28

---

[5]
For Y2TlIn, a structure optimized by DFT (PBE) gives the simulated X-ray powder pattern in this record (Cu Kα (weighted mean of Kα1 and Kα2)).

Structure:
Lattice parameters (Å, degrees): 7.580 7.580 7.580 90.00 90.00 90.00
Space group Fm-3m (No. 225)
One atom of each set of equivalent atoms:
Y 0.250 0.250 0.250 (multiplicity 8)
Tl 0.000 0.000 0.000 (multiplicity 4)
In 0.000 0.000 0.500 (multiplicity 4)

Main lines, low angle first (2θ from 10° to 80°):
(1 1 1), 4.377 Å, 2θ = 20.3°, intensity 6
(2 0 0), 3.790 Å, 2θ = 23.5°, intensity 9
(2 2 0), 2.680 Å, 2θ = 33.4°, intensity 100
(3 1 1), 2.286 Å, 2θ = 39.4°, intensity 4
(4 0 0), 1.895 Å, 2θ = 48.0°, intensity 18
(4 2 0), 1.695 Å, 2θ = 54.1°, intensity 4
(4 2 2), 1.547 Å, 2θ = 59.8°, intensity 37
(4 4 0), 1.340 Å, 2θ = 70.2°, intensity 11

---

[6]
For B2Mo2Os, a structure optimized by DFT (PBE) gives the simulated X-ray powder pattern in this record (Cu Kα (weighted mean of Kα1 and Kα2)).

Structure:
Lattice parameters (Å, degrees): 7.606 9.650 3.077 90.00 90.00 90.00
Space group Pnnm (No. 58)
One atom of each set of equivalent atoms:
B 0.116 0.039 0.000 (multiplicity 4)
B 0.126 0.233 0.000 (multiplicity 4)
Mo 0.074 0.860 0.500 (multiplicity 4)
Mo 0.192 0.630 0.000 (multiplicity 4)
Os 0.119 0.393 0.500 (multiplicity 4)

Main lines, low angle first (2θ from 10° to 80°):
(1 1 0), 5.973 Å, 2θ = 14.8°, intensity 26
(1 0 1), 2.852 Å, 2θ = 31.4°, intensity 33
(1 1 1), 2.735 Å, 2θ = 32.7°, intensity 20
(3 1 0), 2.453 Å, 2θ = 36.6°, intensity 22
(0 4 0), 2.412 Å, 2θ = 37.3°, intensity 39
(3 2 0), 2.244 Å, 2θ = 40.2°, intensity 41
(2 2 1), 2.143 Å, 2θ = 42.2°, intensity 100
(1 3 1), 2.134 Å, 2θ = 42.4°, intensity 21

---

[7]
For Ba4Ce2In2O11, a structure optimized by DFT (PBE) gives the simulated X-ray powder pattern in this record (Cu Kα (weighted mean of Kα1 and Kα2)).

Structure:
Lattice parameters (Å, degrees): 6.129 8.862 6.152 90.00 90.08 90.00
Space group Pm (No. 6)
One atom of each set of equivalent atoms:
Ba 0.000 0.000 0.000 (multiplicity 1)
Ba 0.003 0.500 0.037 (multiplicity 1)
Ba 0.499 0.000 0.519 (multiplicity 1)
Ba 0.514 0.500 0.505 (multiplicity 1)
Ce 0.500 0.246 0.011 (multiplicity 2)
In 0.000 0.271 0.525 (multiplicity 2)
O 0.239 0.262 0.266 (multiplicity 2)
O 0.245 0.195 0.753 (multiplicity 2)
O 0.486 0.500 0.954 (multiplicity 1)
O 0.517 0.000 0.080 (multiplicity 1)
O 0.755 0.200 0.751 (multiplicity 2)
O 0.755 0.280 0.269 (multiplicity 2)
O 0.990 0.500 0.604 (multiplicity 1)

Main lines, low angle first (2θ from 10° to 80°):
(1 2 1), 3.101 Å, 2θ = 28.8°, intensity 100
(0 0 2), 3.076 Å, 2θ = 29.0°, intensity 22
(2 0 0), 3.065 Å, 2θ = 29.1°, intensity 23
(2 0 -2), 2.171 Å, 2θ = 41.6°, intensity 27
(2 4 0), 1.797 Å, 2θ = 50.8°, intensity 20
(1 2 3), 1.781 Å, 2θ = 51.3°, intensity 20
(3 2 1), 1.776 Å, 2θ = 51.4°, intensity 20
(2 4 2), 1.551 Å, 2θ = 59.6°, intensity 15

---

What did the fourth record say?
For CeAl2Pt, a structure optimized by DFT (PBE) gives the simulated X-ray powder pattern in this record (Cu Kα (weighted mean of Kα1 and Kα2)).

Structure:
Lattice parameters (Å, degrees): 4.275 10.637 7.040 90.00 90.00 90.00
Space group Cmcm (No. 63)
One atom of each set of equivalent atoms:
Ce 0.000 0.066 0.250 (multiplicity 4)
Al 0.000 0.348 0.055 (multiplicity 8)
Pt 0.000 0.214 0.750 (multiplicity 4)

Main lines, low angle first (2θ from 10° to 80°):
(1 1 0), 3.967 Å, 2θ = 22.4°, intensity 37
(0 0 2), 3.520 Å, 2θ = 25.3°, intensity 59
(1 1 1), 3.456 Å, 2θ = 25.8°, intensity 36
(1 1 2), 2.633 Å, 2θ = 34.1°, intensity 50
(1 3 1), 2.545 Å, 2θ = 35.3°, intensity 100
(0 4 1), 2.488 Å, 2θ = 36.1°, intensity 51
(1 3 3), 1.779 Å, 2θ = 51.3°, intensity 31
(2 4 1), 1.621 Å, 2θ = 56.8°, intensity 28